NpAl6Au12: theoretical powder XRD pattern (copper Kα), based on a crystal structure in Alexandria, relaxed with PBE.
Neutral-atom scattering factors, no anomalous dispersion.

Main lines, most intense first (2θ = 10–90°):
| Position (°2θ) | I (rel.) |
| --- | --- |
| 32.8 | 100 |
| 34.3 | 48 |
| 48.6 | 36 |
| 40.5 | 35 |
| 22.1 | 26 |
| 25.8 | 18 |

Atomic structure:
abc: 7.5009 7.5009 7.5009
angles: 105.91 105.91 105.91
Fractional coordinates of all 19 atoms:
Np (0.0000, 0.0000, 0.0000)
Al (0.2805, 0.2805, 0.6924)
Al (0.2805, 0.6924, 0.2805)
Al (0.3076, 0.7195, 0.7195)
Al (0.6924, 0.2805, 0.2805)
Al (0.7195, 0.3076, 0.7195)
Al (0.7195, 0.7195, 0.3076)
Au (0.1193, 0.5000, 0.8807)
Au (0.1193, 0.8807, 0.5000)
Au (0.1311, 0.3806, 0.3806)
Au (0.3806, 0.1311, 0.3806)
Au (0.3806, 0.3806, 0.1311)
Au (0.5000, 0.1193, 0.8807)
Au (0.5000, 0.8807, 0.1193)
Au (0.6194, 0.6194, 0.8689)
Au (0.6194, 0.8689, 0.6194)
Au (0.8689, 0.6194, 0.6194)
Au (0.8807, 0.1193, 0.5000)
Au (0.8807, 0.5000, 0.1193)



Pm2ErBe3Pt4: theoretical powder XRD pattern (copper Kα), based on a crystal structure in Alexandria, relaxed with PBE.
Neutral-atom scattering factors, no anomalous dispersion.

Main lines, most intense first (2θ = 10–90°):
| Position (°2θ) | I (rel.) |
| --- | --- |
| 35.2 | 100 |
| 44.4 | 38 |
| 27.3 | 34 |
| 75.8 | 22 |
| 39.9 | 20 |
| 32.1 | 14 |

Atomic structure:
abc: 4.0777 4.0777 10.8751
angles: 90.00 90.00 90.00
Fractional coordinates of all 10 atoms:
Pm (0.0000, 0.5000, 0.2247)
Pm (0.5000, 0.0000, 0.7753)
Er (0.0000, 0.0000, 0.5000)
Be (0.0000, 0.5000, 0.8923)
Be (0.5000, 0.0000, 0.1077)
Be (0.5000, 0.5000, 0.5000)
Pt (0.0000, 0.0000, 0.0000)
Pt (0.0000, 0.5000, 0.6695)
Pt (0.5000, 0.0000, 0.3305)
Pt (0.5000, 0.5000, 0.0000)



Dy3InNi: theoretical powder XRD pattern (copper Kα), based on a crystal structure in Alexandria, relaxed with PBE.
Neutral-atom scattering factors, no anomalous dispersion.

Main lines, most intense first (2θ = 10–90°):
| Position (°2θ) | I (rel.) |
| --- | --- |
| 30.9 | 100 |
| 30.4 | 87 |
| 34.7 | 70 |
| 34.2 | 61 |
| 49.5 | 43 |
| 35.2 | 29 |

Atomic structure:
abc: 6.3750 6.3750 9.5675
angles: 113.38 113.38 47.87
Fractional coordinates of all 10 atoms:
Dy (0.1262, 0.1262, 0.2651)
Dy (0.1404, 0.1404, 0.6694)
Dy (0.3743, 0.3743, 0.0689)
Dy (0.6257, 0.6257, 0.9311)
Dy (0.8596, 0.8596, 0.3306)
Dy (0.8738, 0.8738, 0.7349)
In (0.4080, 0.4080, 0.5672)
In (0.5920, 0.5920, 0.4328)
Ni (0.1087, 0.1087, 0.9689)
Ni (0.8913, 0.8913, 0.0311)